Starting from the PBE+U geometry in Alexandria, the powder diffractogram of MnAgGeF6 was calculated for Cu Kα (weighted mean of Kα1 and Kα2).
Intensities are scaled so that the largest is 1000.

Crystal structure
Unit cell a=5.6166 b=5.6166 c=10.0935 alpha=90.00 beta=90.00 gamma=120.00
Space group P-31c (No. 163)
Symmetry-distinct sites (fractional):
Mn 0.3333 0.6667 0.2500 (multiplicity 2)
Ag 0.0000 0.0000 0.0000 (multiplicity 2)
Ge 0.3333 0.6667 0.7500 (multiplicity 2)
F 0.0203 0.3784 0.6422 (multiplicity 12)

Largest 12 diffraction maxima, sorted by position, 10° ≤ 2θ ≤ 90°:
2θ 25.4, intensity 1000, hkl 1 0 2; 2θ 31.9, intensity 296, hkl 1 1 0; 2θ 36.6, intensity 102, hkl 1 1 2; 2θ 41.2, intensity 241, hkl 2 0 2; 2θ 48.5, intensity 430, hkl 1 1 4; 2θ 53.0, intensity 246, hkl 2 1 2; 2θ 56.8, intensity 165, hkl 3 0 0; 2θ 58.0, intensity 83, hkl 1 0 6; 2θ 67.7, intensity 66, hkl 2 0 6; 2θ 72.5, intensity 99, hkl 4 -1 2; 2θ 76.8, intensity 79, hkl 3 -1 6; 2θ 77.9, intensity 88, hkl 4 -2 4